For Li2MnP2O7, a PBE+U-relaxed structure gives the simulated X-ray diffraction stick pattern in this record (a wavelength of 1.5418 Å).

Structure:
a b c (Å): 7.472 7.472 7.472
angles (deg): 39.87 39.87 39.87
Positions (direct):
Li (0.246, 0.246, 0.246)
Li (0.754, 0.754, 0.754)
Mn (0.500, 0.500, 0.500)
P (0.078, 0.078, 0.078)
P (0.922, 0.922, 0.922)
O (0.000, 0.000, 0.000)
O (0.117, 0.377, 0.800)
O (0.200, 0.623, 0.883)
O (0.377, 0.800, 0.117)
O (0.623, 0.883, 0.200)
O (0.800, 0.117, 0.377)
O (0.883, 0.200, 0.623)

The 10 most intense peaks (10 to 90 degrees two-theta), by intensity:
| 2theta | I (rel.) |
| --- | --- |
| 21.9 | 100 |
| 29.7 | 39 |
| 35.2 | 37 |
| 12.9 | 36 |
| 36.7 | 21 |
| 63.2 | 15 |
| 25.9 | 14 |
| 53.8 | 13 |
| 44.3 | 13 |
| 65.6 | 10 |